Entry 1:
Starting from a structure optimized by DFT (GGA-PBE), the powder XRD pattern of NaI was computed for a wavelength of 1.5418 Å.

The 10 most intense peaks (2θ = 10–80°), sorted by position:
2θ (°)  I_rel
20.80  30
22.36  51
22.81  53
30.73  100
31.06  22
38.97  13
45.31  32
45.63  16
48.39  13
48.62  13

Crystal structure
```
4
Lattice="4.622 0.000 0.000 0.000 4.270 0.000 0.000 0.000 7.798" Properties=species:S:1:pos:R:3 pbc="T T T"
Na 1.156 0.000 1.754
Na 3.467 0.000 6.044
I 1.156 2.135 5.908
I 3.467 2.135 1.891
```

=====

Entry 2:
Starting from a structure optimized by DFT (GGA-PBE), the powder XRD pattern of NaI was computed for a wavelength of 1.5418 Å.

The 10 most intense peaks (2θ = 10–80°), sorted by position:
2θ (°)  I_rel
23.59  87
27.31  100
39.00  76
46.09  43
48.26  27
56.34  13
61.92  18
63.72  34
70.65  25
75.65  14

Crystal structure
```
2
Lattice="0.000 3.266 3.266 3.266 0.000 3.266 3.266 3.266 0.000" Properties=species:S:1:pos:R:3 pbc="T T T"
Na 0.000 0.000 0.000
I 3.266 3.266 3.266
```

=====

Entry 3:
Starting from a structure optimized by DFT (GGA-PBE), the powder XRD pattern of Na2IO6 was computed for a wavelength of 1.5418 Å.

The 10 most intense peaks (2θ = 10–80°), sorted by position:
2θ (°)  I_rel
17.08  63
19.10  78
19.25  72
24.35  100
29.89  35
31.09  70
47.17  47
47.38  28
49.89  21
59.05  20

Crystal structure
```
18
Lattice="5.145 0.000 0.000 0.000 5.195 0.000 0.000 0.000 10.383" Properties=species:S:1:pos:R:3 pbc="T T T"
Na 0.000 0.000 1.662
Na 0.000 0.000 8.722
Na 2.573 2.598 3.530
Na 2.573 2.598 6.854
I 0.000 0.000 5.192
I 2.573 2.598 0.000
O 0.767 1.040 3.840
O 0.767 1.040 6.543
O 1.073 1.482 0.000
O 1.499 4.079 5.192
O 1.805 3.638 1.352
O 1.805 3.638 9.032
O 3.340 1.558 1.352
O 3.340 1.558 9.032
O 3.646 1.116 5.192
O 4.072 3.714 0.000
O 4.378 4.155 3.840
O 4.378 4.155 6.543
```

=====

Entry 4:
Starting from a structure optimized by DFT (GGA-PBE), the powder XRD pattern of NaPb2IO6 was computed for a wavelength of 1.5418 Å.

The 10 most intense peaks (2θ = 10–80°), sorted by position:
2θ (°)  I_rel
17.70  22
21.09  40
29.26  50
29.75  100
30.44  98
30.73  44
42.95  50
43.22  23
53.07  24
53.95  30

Crystal structure
```
20
Lattice="6.107 0.000 0.000 0.000 5.819 0.000 -5.835 0.000 8.373" Properties=species:S:1:pos:R:3 pbc="T T T"
Na 0.000 0.000 0.000
Na -2.917 2.910 4.186
Pb -2.776 0.133 6.362
Pb 0.142 2.776 2.175
Pb 0.131 3.043 6.198
Pb 3.048 5.686 2.011
I 0.136 0.000 4.186
I 3.054 2.910 0.000
O -0.417 0.247 2.376
O -3.334 2.663 6.563
O 1.837 4.367 0.228
O -1.081 4.361 4.414
O -1.211 1.251 4.752
O 1.706 1.659 0.566
O -1.433 4.160 7.807
O 1.484 4.568 3.621
O 1.353 1.458 3.959
O -1.564 1.452 8.145
O 3.607 3.156 1.810
O 0.689 5.572 5.997
```